# 1
Computed X-ray diffraction stick pattern of LuHfTi2 for a wavelength of 1.5418 Å, from a crystal structure in Alexandria, relaxed with PBE.
Peak positions follow from Bragg's law for the DFT cell and can differ from measured ones.

Atomic structure:
```
4
Lattice="3.5764 0.0000 0.0000 0.0000 3.5764 0.0000 0.0000 0.0000 6.6725" Properties=species:S:1:pos:R:3 pbc="T T T"
Lu 0.0000 0.0000 0.0000
Hf 0.0000 0.0000 3.3362
Ti 1.7882 1.7882 1.9528
Ti 1.7882 1.7882 4.7197
```

Top 12 peaks for 10° ≤ 2θ ≤ 80°, by angle:
24.9 deg, intensity 47; 26.7 deg, intensity 22; 35.5 deg, intensity 59; 36.8 deg, intensity 100; 45.0 deg, intensity 23; 51.1 deg, intensity 21; 57.6 deg, intensity 10; 58.6 deg, intensity 11; 61.3 deg, intensity 12; 64.6 deg, intensity 38; 67.2 deg, intensity 15; 78.4 deg, intensity 9

***

# 2
Computed X-ray diffraction stick pattern of HfMg7 for a wavelength of 1.5418 Å, from a crystal structure in Alexandria, relaxed with PBE.
Peak positions follow from Bragg's law for the DFT cell and can differ from measured ones.

Atomic structure:
```
8
Lattice="6.4248 0.0000 0.0000 -3.2124 5.5640 0.0000 0.0000 0.0000 5.0435" Properties=species:S:1:pos:R:3 pbc="T T T"
Hf 0.0000 0.0000 0.0000
Mg -1.5857 2.7938 0.0000
Mg 0.0000 1.8082 2.5218
Mg -1.6465 4.6599 2.5218
Mg 1.5857 2.7938 0.0000
Mg 0.0000 5.5404 0.0000
Mg 3.2124 1.8547 2.5218
Mg 1.6465 4.6599 2.5218
```

Top 12 peaks for 10° ≤ 2θ ≤ 80°, by angle:
15.9 deg, intensity 89; 17.6 deg, intensity 23; 23.8 deg, intensity 66; 27.8 deg, intensity 23; 32.2 deg, intensity 35; 33.1 deg, intensity 30; 35.6 deg, intensity 23; 36.9 deg, intensity 100; 39.2 deg, intensity 20; 46.8 deg, intensity 25; 48.7 deg, intensity 22; 69.4 deg, intensity 19

***

# 3
Computed X-ray diffraction stick pattern of Hf3MgN4 for a wavelength of 1.5418 Å, from a crystal structure in Alexandria, relaxed with PBE.
Peak positions follow from Bragg's law for the DFT cell and can differ from measured ones.

Atomic structure:
```
8
Lattice="4.5000 0.0000 0.0000 0.0000 4.5000 0.0000 0.0000 0.0000 4.5000" Properties=species:S:1:pos:R:3 pbc="T T T"
Hf 0.0000 0.0000 2.2500
Hf 0.0000 2.2500 0.0000
Hf 2.2500 0.0000 0.0000
Mg 2.2500 2.2500 2.2500
N 0.0000 0.0000 0.0000
N 0.0000 2.2500 2.2500
N 2.2500 0.0000 2.2500
N 2.2500 2.2500 0.0000
```

Top 12 peaks for 10° ≤ 2θ ≤ 80°, by angle:
19.7 deg, intensity 27; 28.0 deg, intensity 23; 34.5 deg, intensity 100; 40.1 deg, intensity 74; 45.0 deg, intensity 13; 49.6 deg, intensity 10; 58.0 deg, intensity 49; 61.9 deg, intensity 6; 65.6 deg, intensity 4; 69.2 deg, intensity 43; 72.8 deg, intensity 16; 79.7 deg, intensity 5

***

# 4
Computed X-ray diffraction stick pattern of TmHf2Mg3N6 for a wavelength of 1.5418 Å, from a crystal structure in Alexandria, relaxed with PBE.
Peak positions follow from Bragg's law for the DFT cell and can differ from measured ones.

Atomic structure:
```
12
Lattice="2.8117 -4.8710 0.0000 2.8117 4.8710 0.0000 -1.8788 0.0000 5.1574" Properties=species:S:1:pos:R:3 pbc="T T T"
Tm 0.0000 0.0000 0.0000
Hf 2.8117 1.6254 0.0000
Hf 2.8117 -1.6254 0.0000
Mg 1.8723 3.2369 2.5787
Mg 1.8723 0.0000 2.5787
Mg 1.8723 -3.2369 2.5787
N 0.9751 1.6919 1.2306
N 0.0762 0.0000 3.9048
N 0.9751 -1.6919 1.2306
N 2.7695 1.6919 3.9269
N 3.6685 0.0000 1.2526
N 2.7695 -1.6919 3.9269
```

Top 12 peaks for 10° ≤ 2θ ≤ 80°, by angle:
17.2 deg, intensity 100; 32.4 deg, intensity 63; 33.9 deg, intensity 77; 34.8 deg, intensity 24; 39.6 deg, intensity 86; 43.5 deg, intensity 28; 52.7 deg, intensity 17; 56.7 deg, intensity 29; 57.9 deg, intensity 27; 59.7 deg, intensity 23; 68.3 deg, intensity 22; 71.4 deg, intensity 14

***

# 5
Computed X-ray diffraction stick pattern of NaHfMg6O7 for a wavelength of 1.5418 Å, from a crystal structure in Alexandria, relaxed with PBE.
Peak positions follow from Bragg's law for the DFT cell and can differ from measured ones.

Atomic structure:
```
15
Lattice="4.3867 0.0000 0.0000 0.0000 4.3867 0.0000 0.0000 0.0000 8.9549" Properties=species:S:1:pos:R:3 pbc="T T T"
Na 0.0000 0.0000 0.0000
Hf 0.0000 0.0000 4.5053
Mg 0.0000 2.1934 2.0317
Mg 0.0000 2.1934 6.8854
Mg 2.1934 0.0000 2.0317
Mg 2.1934 0.0000 6.8854
Mg 2.1934 2.1934 4.6193
Mg 2.1934 2.1934 8.8898
O 0.0000 0.0000 2.4248
O 0.0000 0.0000 6.5904
O 0.0000 2.1934 4.6466
O 0.0000 2.1934 8.9359
O 2.1934 0.0000 4.6466
O 2.1934 0.0000 8.9359
O 2.1934 2.1934 6.7597
```

Top 12 peaks for 10° ≤ 2θ ≤ 80°, by angle:
19.8 deg, intensity 40; 20.2 deg, intensity 73; 22.6 deg, intensity 100; 28.5 deg, intensity 40; 30.5 deg, intensity 55; 35.2 deg, intensity 74; 40.3 deg, intensity 45; 41.2 deg, intensity 93; 47.4 deg, intensity 28; 59.0 deg, intensity 53; 59.6 deg, intensity 44; 74.4 deg, intensity 25

***

# 6
Computed X-ray diffraction stick pattern of NaHfMg14O15 for a wavelength of 1.5418 Å, from a crystal structure in Alexandria, relaxed with PBE.
Peak positions follow from Bragg's law for the DFT cell and can differ from measured ones.

Atomic structure:
```
31
Lattice="4.3290 0.0000 0.0000 0.0000 8.6541 0.0000 0.0000 0.0000 8.6083" Properties=species:S:1:pos:R:3 pbc="T T T"
Na 0.0000 0.0000 0.0000
Hf 0.0000 4.3271 0.0677
Mg 0.0000 0.0000 4.3105
Mg 0.0000 2.0724 2.2049
Mg 0.0000 2.1008 6.4125
Mg 0.0000 4.3271 4.3071
Mg 0.0000 6.5533 6.4125
Mg 0.0000 6.5817 2.2049
Mg 2.1645 0.0000 2.1493
Mg 2.1645 0.0000 6.4653
Mg 2.1645 2.0367 0.0079
Mg 2.1645 2.1450 4.3003
Mg 2.1645 4.3271 2.1793
Mg 2.1645 4.3271 6.4070
Mg 2.1645 6.5091 4.3003
Mg 2.1645 6.6174 0.0079
O 0.0000 0.0000 2.2844
O 0.0000 0.0000 6.3324
O 0.0000 2.1984 4.3078
O 0.0000 2.2761 8.6044
O 0.0000 4.3271 6.4194
O 0.0000 6.3780 8.6044
O 0.0000 6.4557 4.3078
O 2.1645 0.0000 4.3176
O 2.1645 0.0000 8.6004
O 2.1645 2.1196 2.1517
O 2.1645 2.1714 6.4665
O 2.1645 4.3271 4.3040
O 2.1645 4.3271 8.5674
O 2.1645 6.4827 6.4665
O 2.1645 6.5345 2.1517
```

Top 12 peaks for 10° ≤ 2θ ≤ 80°, by angle:
10.3 deg, intensity 76; 14.5 deg, intensity 49; 23.0 deg, intensity 46; 25.2 deg, intensity 32; 29.2 deg, intensity 30; 31.0 deg, intensity 44; 36.0 deg, intensity 47; 41.7 deg, intensity 100; 42.0 deg, intensity 49; 60.5 deg, intensity 29; 60.7 deg, intensity 57; 76.4 deg, intensity 26

***

# 7
Computed X-ray diffraction stick pattern of NaHfMg14O15 for a wavelength of 1.5418 Å, from a crystal structure in Alexandria, relaxed with PBE.
Peak positions follow from Bragg's law for the DFT cell and can differ from measured ones.

Atomic structure:
```
31
Lattice="4.3318 0.0000 0.0000 0.0000 8.6770 0.0000 0.0000 0.0000 8.6076" Properties=species:S:1:pos:R:3 pbc="T T T"
Na 0.0000 0.0000 0.0000
Hf 0.0000 4.3385 4.2973
Mg 0.0000 0.0000 4.2576
Mg 0.0000 2.0794 6.5113
Mg 0.0000 2.1419 2.0546
Mg 0.0000 4.3385 8.5741
Mg 0.0000 6.5351 2.0546
Mg 0.0000 6.5976 6.5113
Mg 2.1659 0.0000 2.0906
Mg 2.1659 0.0000 6.4821
Mg 2.1659 2.0810 4.2837
Mg 2.1659 2.1231 8.5886
Mg 2.1659 4.3385 2.0452
Mg 2.1659 4.3385 6.5225
Mg 2.1659 6.5539 8.5886
Mg 2.1659 6.5960 4.2837
O 0.0000 0.0000 6.3022
O 0.0000 2.1845 4.2971
O 0.0000 2.3040 8.5835
O 0.0000 4.3385 2.1423
O 0.0000 4.3385 6.4337
O 0.0000 6.3729 8.5835
O 0.0000 6.4925 4.2971
O 2.1659 0.0000 4.2911
O 2.1659 0.0000 8.5942
O 2.1659 2.1770 6.4267
O 2.1659 2.2122 2.1457
O 2.1659 4.3385 4.2957
O 2.1659 4.3385 8.5849
O 2.1659 6.4647 2.1457
O 2.1659 6.4999 6.4267
```

Top 12 peaks for 10° ≤ 2θ ≤ 80°, by angle:
10.2 deg, intensity 100; 14.5 deg, intensity 39; 23.0 deg, intensity 53; 25.2 deg, intensity 24; 29.2 deg, intensity 17; 31.0 deg, intensity 23; 36.0 deg, intensity 43; 41.7 deg, intensity 93; 42.0 deg, intensity 45; 60.4 deg, intensity 27; 60.6 deg, intensity 53; 76.3 deg, intensity 24

***

# 8
Computed X-ray diffraction stick pattern of NaHfMg6O7 for a wavelength of 1.5418 Å, from a crystal structure in Alexandria, relaxed with PBE.
Peak positions follow from Bragg's law for the DFT cell and can differ from measured ones.

Atomic structure:
```
15
Lattice="4.3535 0.0000 0.0000 0.0000 4.3535 0.0000 0.0000 0.0000 8.8131" Properties=species:S:1:pos:R:3 pbc="T T T"
Na 0.0000 0.0000 0.0000
Hf 2.1767 2.1767 0.0111
Mg 0.0000 0.0000 4.4295
Mg 0.0000 2.1767 2.2955
Mg 0.0000 2.1767 6.5540
Mg 2.1767 0.0000 2.2955
Mg 2.1767 0.0000 6.5540
Mg 2.1767 2.1767 4.4193
O 0.0000 0.0000 6.4708
O 0.0000 2.1767 4.4284
O 0.0000 2.1767 8.7907
O 2.1767 0.0000 4.4284
O 2.1767 0.0000 8.7907
O 2.1767 2.1767 2.2545
O 2.1767 2.1767 6.5947
```

Top 12 peaks for 10° ≤ 2θ ≤ 80°, by angle:
10.0 deg, intensity 100; 20.2 deg, intensity 32; 20.4 deg, intensity 63; 22.8 deg, intensity 79; 28.8 deg, intensity 34; 30.8 deg, intensity 37; 35.6 deg, intensity 62; 41.0 deg, intensity 39; 41.5 deg, intensity 77; 47.8 deg, intensity 23; 59.7 deg, intensity 47; 60.1 deg, intensity 23